KNpTe3: theoretical powder diffractogram (Cu Kα (λ = 1.5418 Å)), based on a structure optimized by DFT (PBE).

Principal peaks in the range 5 to 70 degrees two-theta, sorted by position:
(0 0 1), 2θ 9.8, 9.055 Å, I = 100; (0 2 0), 2θ 19.7, 4.514 Å, I = 13; (1 0 2), 2θ 28.7, 3.113 Å, I = 12; (1 1 2), 2θ 30.4, 2.942 Å, I = 93; (0 3 1), 2θ 31.3, 2.856 Å, I = 20; (0 2 3), 2θ 35.8, 2.508 Å, I = 21; (1 3 0), 2θ 36.5, 2.463 Å, I = 16; (1 1 3), 2θ 37.8, 2.379 Å, I = 35; (1 3 2), 2θ 41.7, 2.164 Å, I = 13; (2 0 0), 2θ 42.2, 2.143 Å, I = 14; (1 5 2), 2θ 59.2, 1.562 Å, I = 14; (1 5 3), 2θ 63.8, 1.458 Å, I = 14

Structure:
```
data_KNpTe3
_space_group_name_H-M_alt 'P m m n'
_space_group_IT_number 59
_cell_length_a 4.2861
_cell_length_b 9.0275
_cell_length_c 9.0552
_cell_angle_alpha 90.00
_cell_angle_beta 90.00
_cell_angle_gamma 90.00
loop_
_space_group_symop_operation_xyz
'x,y,z'
'-x,-y,-z'
'-x+1/2,-y+1/2,z'
'x+1/2,y+1/2,-z'
'x+1/2,-y,-z'
'-x+1/2,y,z'
'-x,y+1/2,-z'
'x,-y+1/2,z'
loop_
_atom_site_label
_atom_site_fract_x
_atom_site_fract_y
_atom_site_fract_z
_atom_site_occupancy
K1 0.2500 0.2500 0.0515 1
Np1 0.2500 0.2500 0.5113 1
Te1 0.2500 0.5683 0.6784 1
Te2 0.2500 0.7500 0.2525 1
```